No. 1
Zn3Au: simulated X-ray powder pattern (a wavelength of 1.5418 Å), based on a GGA-PBE-relaxed structure.
Intensities are scaled so that the largest is 100.

Largest 10 diffraction maxima, by angle, 2θ from 10° to 90°:
2θ (°)	I_rel
22.3	15
25.0	28
27.4	28
40.9	100
42.5	64
45.6	25
62.8	17
71.0	11
73.3	23
89.6	12

```
data_Zn3Au
_cell_length_a 7.963
_cell_length_b 7.963
_cell_length_c 7.963
_cell_angle_alpha 90.00
_cell_angle_beta 90.00
_cell_angle_gamma 90.00
_space_group_name_H-M_alt 'P m -3 n'
_space_group_IT_number 223
_space_group_name_Hall '-P 4n 2 3'
loop_
_atom_site_label
_atom_site_type_symbol
_atom_site_fract_x
_atom_site_fract_y
_atom_site_fract_z
Zn1 Zn 0.000 0.164 0.299
Au1 Au 0.000 0.000 0.000
Au2 Au 0.000 0.500 0.250
```

***

No. 2
Zn12Au17: simulated X-ray powder pattern (a wavelength of 1.5418 Å), based on a GGA-PBE-relaxed structure.
Intensities are scaled so that the largest is 100.

Largest 10 diffraction maxima, by angle, 2θ from 10° to 90°:
2θ (°)	I_rel
22.0	16
33.9	9
36.3	15
38.6	100
42.9	13
44.9	12
46.8	13
69.9	21
72.8	11
84.2	10

```
data_Zn12Au17
_cell_length_a 9.891
_cell_length_b 9.891
_cell_length_c 9.891
_cell_angle_alpha 90.00
_cell_angle_beta 90.00
_cell_angle_gamma 90.00
_space_group_name_H-M_alt 'I -4 3 m'
_space_group_IT_number 217
_space_group_name_Hall 'I -4 2 3'
loop_
_atom_site_label
_atom_site_type_symbol
_atom_site_fract_x
_atom_site_fract_y
_atom_site_fract_z
Zn1 Zn 0.095 0.095 0.713
Au1 Au 0.000 0.000 0.000
Au2 Au 0.052 0.359 0.641
Au3 Au 0.162 0.162 0.162
```